# Ce3Al12Os4
Simulated powder XRD pattern, Cu Kα (λ = 1.5418 Å). Input: a DFT-relaxed cell (PBE, the Materials Project).

Cell and atoms:
abc: 8.9109 8.9109 9.5783
angles: 90.00 90.00 120.00
Atoms (fractional coordinates):
1 Ce 0.1932 0.3864 0.2500
2 Ce 0.1932 0.8068 0.2500
3 Ce 0.3864 0.1932 0.7500
4 Ce 0.6136 0.8068 0.2500
5 Ce 0.8068 0.1932 0.7500
6 Ce 0.8068 0.6136 0.7500
7 Al 0.0000 0.0000 0.2500
8 Al 0.0000 0.0000 0.7500
9 Al 0.1255 0.5628 0.7500
10 Al 0.1624 0.3248 0.5758
11 Al 0.1624 0.3248 0.9242
12 Al 0.1624 0.8376 0.5758
13 Al 0.1624 0.8376 0.9242
14 Al 0.3248 0.1624 0.0758
15 Al 0.3248 0.1624 0.4242
16 Al 0.3333 0.6667 0.0114
17 Al 0.3333 0.6667 0.4886
18 Al 0.4372 0.5628 0.7500
19 Al 0.4372 0.8745 0.7500
20 Al 0.5628 0.1255 0.2500
21 Al 0.5628 0.4372 0.2500
22 Al 0.6667 0.3333 0.5114
23 Al 0.6667 0.3333 0.9886
24 Al 0.6752 0.8376 0.5758
25 Al 0.6752 0.8376 0.9242
26 Al 0.8376 0.1624 0.0758
27 Al 0.8376 0.1624 0.4242
28 Al 0.8376 0.6752 0.0758
29 Al 0.8376 0.6752 0.4242
30 Al 0.8745 0.4372 0.2500
31 Os 0.0000 0.0000 0.0000
32 Os 0.0000 0.0000 0.5000
33 Os 0.0000 0.5000 0.0000
34 Os 0.0000 0.5000 0.5000
35 Os 0.5000 0.0000 0.0000
36 Os 0.5000 0.0000 0.5000
37 Os 0.5000 0.5000 0.0000
38 Os 0.5000 0.5000 0.5000

Largest 8 diffraction maxima, by angle, 10° ≤ 2θ ≤ 90°:
- 2θ 23.05, I = 38, (2 0 0)
- 2θ 29.73, I = 100, (2 0 2)
- 2θ 36.53, I = 21, (2 0 3)
- 2θ 37.56, I = 23, (0 0 4)
- 2θ 40.49, I = 55, (2 2 0)
- 2θ 44.53, I = 20, (2 0 4)
- 2θ 51.04, I = 21, (4 0 2)
- 2θ 56.41, I = 29, (2 2 4)